# 1
Calculated powder XRD pattern
Compound: Cs3TmGa2Se6
Radiation: Cu Kα
Structure: DFT lattice parameters and positions (GGA-PBE)
Peak positions follow from Bragg's law for the DFT cell and can differ from measured ones.

Main lines, in order of falling intensity (15 to 90 degrees two-theta):
| index | Position (°2θ) | d_spacing | intensity |
| --- | --- | --- | --- |
| 2 0 2 | 32.47 | 2.758 | 100 |
| 0 2 1 | 28.20 | 3.165 | 76 |
| 1 1 0 | 23.02 | 3.864 | 74 |
| 1 0 2 | 22.58 | 3.937 | 73 |
| 2 2 0 | 47.04 | 1.932 | 50 |
| 2 1 2 | 40.17 | 2.245 | 44 |
| 0 2 3 | 38.64 | 2.330 | 36 |
| 0 0 3 | 27.48 | 3.246 | 28 |
| 0 2 4 | 46.11 | 1.969 | 22 |
| 2 2 3 | 55.34 | 1.660 | 22 |

Crystal structure
```
data_Cs3TmGa2Se6
_space_group_name_H-M_alt 'P -3 m 1'
_space_group_IT_number 164
_space_group_name_Hall '-P 3 2"'
_cell_length_a 7.7276
_cell_length_b 7.7276
_cell_length_c 9.7390
_cell_angle_alpha 90.00
_cell_angle_beta 90.00
_cell_angle_gamma 120.00
loop_
_atom_site_label
_atom_site_fract_x
_atom_site_fract_y
_atom_site_fract_z
Cs1 0.0000 0.0000 0.0000
Cs2 0.3333 0.6667 0.7034
Tm1 0.0000 0.0000 0.5000
Ga1 0.3333 0.6667 0.3228
Se1 0.1595 0.3189 0.3048
```

# 2
Calculated powder XRD pattern
Compound: CsGa4Sn12
Radiation: Cu Kα
Structure: DFT lattice parameters and positions (GGA-PBE)
Peak positions follow from Bragg's law for the DFT cell and can differ from measured ones.

Main lines, in order of falling intensity (15 to 90 degrees two-theta):
| index | Position (°2θ) | d_spacing | intensity |
| --- | --- | --- | --- |
| 3 1 0 | 28.44 | 3.139 | 100 |
| 4 1 3 | 46.66 | 1.947 | 42 |
| 3 2 1 | 33.79 | 2.653 | 36 |
| 4 2 2 | 44.73 | 2.026 | 21 |
| 4 2 0 | 40.65 | 2.219 | 19 |
| 7 3 4 | 83.84 | 1.154 | 16 |
| 6 3 1 | 63.57 | 1.463 | 16 |
| 7 0 3 | 72.53 | 1.303 | 12 |
| 6 0 0 | 55.55 | 1.654 | 10 |
| 6 6 0 | 82.45 | 1.170 | 9 |

Crystal structure
```
data_CsGa4Sn12
_space_group_name_H-M_alt 'I m -3'
_space_group_IT_number 204
_space_group_name_Hall '-I 2 2 3'
_cell_length_a 9.926
_cell_length_b 9.926
_cell_length_c 9.926
_cell_angle_alpha 90.00
_cell_angle_beta 90.00
_cell_angle_gamma 90.00
loop_
_atom_site_label
_atom_site_fract_x
_atom_site_fract_y
_atom_site_fract_z
Cs1 0.000 0.000 0.000
Ga1 0.250 0.250 0.250
Sn1 0.000 0.154 0.354
```

# 3
Calculated powder XRD pattern
Compound: CsGa4Sn3
Radiation: Cu Kα
Structure: DFT lattice parameters and positions (GGA-PBE)
Peak positions follow from Bragg's law for the DFT cell and can differ from measured ones.

Main lines, in order of falling intensity (15 to 90 degrees two-theta):
| index | Position (°2θ) | d_spacing | intensity |
| --- | --- | --- | --- |
| 2 0 0 | 34.34 | 2.611 | 100 |
| 1 0 2 | 27.77 | 3.213 | 99 |
| 2 1 2 | 44.72 | 2.026 | 55 |
| 1 1 3 | 41.26 | 2.188 | 51 |
| 1 1 1 | 26.50 | 3.364 | 39 |
| 2 2 0 | 49.35 | 1.847 | 36 |
| 3 1 3 | 66.22 | 1.411 | 25 |
| 1 1 2 | 32.73 | 2.736 | 20 |
| 4 2 0 | 82.62 | 1.168 | 16 |
| 3 2 2 | 68.78 | 1.365 | 16 |

Crystal structure
```
data_CsGa4Sn3
_space_group_name_H-M_alt 'P 4/m m m'
_space_group_IT_number 123
_space_group_name_Hall '-P 4 2'
_cell_length_a 5.223
_cell_length_b 5.223
_cell_length_c 8.150
_cell_angle_alpha 90.00
_cell_angle_beta 90.00
_cell_angle_gamma 90.00
loop_
_atom_site_label
_atom_site_fract_x
_atom_site_fract_y
_atom_site_fract_z
Cs1 0.000 0.000 0.000
Ga1 0.000 0.500 0.332
Sn1 0.000 0.000 0.500
Sn2 0.500 0.500 0.187
```

# 4
Calculated powder XRD pattern
Compound: CsGaSn
Radiation: Cu Kα
Structure: DFT lattice parameters and positions (GGA-PBE)
Peak positions follow from Bragg's law for the DFT cell and can differ from measured ones.

Main lines, in order of falling intensity (15 to 90 degrees two-theta):
| index | Position (°2θ) | d_spacing | intensity |
| --- | --- | --- | --- |
| 3 1 0 | 28.52 | 3.129 | 100 |
| 1 1 -2 | 31.49 | 2.841 | 78 |
| 4 0 -1 | 21.94 | 4.052 | 52 |
| 1 1 -3 | 42.06 | 2.148 | 36 |
| 7 1 -1 | 45.71 | 1.985 | 34 |
| 2 0 2 | 33.87 | 2.646 | 32 |
| 0 0 2 | 25.55 | 3.486 | 30 |
| 8 0 -3 | 46.84 | 1.939 | 23 |
| 1 1 -1 | 23.92 | 3.720 | 22 |
| 0 2 0 | 43.10 | 2.099 | 21 |

Crystal structure
```
data_CsGaSn
_space_group_name_H-M_alt 'C 1 2/m 1'
_space_group_IT_number 12
_space_group_name_Hall '-C 2y'
_cell_length_a 16.198
_cell_length_b 4.198
_cell_length_c 8.024
_cell_angle_alpha 90.00
_cell_angle_beta 119.61
_cell_angle_gamma 90.00
loop_
_atom_site_label
_atom_site_fract_x
_atom_site_fract_y
_atom_site_fract_z
Cs1 0.170 0.000 0.171
Ga1 0.107 0.000 0.606
Sn1 0.001 0.500 0.684
```

# 5
Calculated powder XRD pattern
Compound: CsGa8Sn2
Radiation: Cu Kα
Structure: DFT lattice parameters and positions (GGA-PBE)
Peak positions follow from Bragg's law for the DFT cell and can differ from measured ones.

Main lines, in order of falling intensity (15 to 90 degrees two-theta):
| index | Position (°2θ) | d_spacing | intensity |
| --- | --- | --- | --- |
| 2 2 0 | 33.72 | 2.658 | 100 |
| 0 2 3 | 32.50 | 2.755 | 38 |
| 0 2 4 | 39.14 | 2.302 | 34 |
| 1 1 0 | 16.68 | 5.315 | 30 |
| 2 0 3 | 35.50 | 2.528 | 30 |
| 2 0 4 | 41.73 | 2.165 | 28 |
| 0 0 8 | 67.63 | 1.385 | 26 |
| 0 4 0 | 43.78 | 2.068 | 25 |
| 2 4 4 | 62.07 | 1.495 | 17 |
| 2 2 1 | 34.71 | 2.584 | 17 |

Crystal structure
```
data_CsGa8Sn2
_space_group_name_H-M_alt 'C m m m'
_space_group_IT_number 65
_space_group_name_Hall '-C 2 2'
_cell_length_a 6.937
_cell_length_b 8.272
_cell_length_c 11.080
_cell_angle_alpha 90.00
_cell_angle_beta 90.00
_cell_angle_gamma 90.00
loop_
_atom_site_label
_atom_site_fract_x
_atom_site_fract_y
_atom_site_fract_z
Cs1 0.000 0.000 0.000
Ga1 0.000 0.500 0.370
Ga2 0.250 0.250 0.256
Ga3 0.250 0.250 0.500
Sn1 0.000 0.000 0.362
```

# 6
Calculated powder XRD pattern
Compound: Cs5Ga2Te5
Radiation: Cu Kα
Structure: DFT lattice parameters and positions (GGA-PBE)
Peak positions follow from Bragg's law for the DFT cell and can differ from measured ones.

Main lines, in order of falling intensity (15 to 90 degrees two-theta):
| index | Position (°2θ) | d_spacing | intensity |
| --- | --- | --- | --- |
| 3 1 -1 | 23.99 | 3.709 | 100 |
| 1 1 3 | 28.50 | 3.132 | 52 |
| 2 0 -4 | 28.33 | 3.150 | 38 |
| 0 2 0 | 35.61 | 2.521 | 29 |
| 4 0 2 | 26.92 | 3.312 | 23 |
| 2 2 -4 | 46.11 | 1.968 | 20 |
| 2 0 3 | 24.73 | 3.600 | 16 |
| 5 1 -5 | 44.85 | 2.021 | 16 |
| 3 1 -2 | 26.28 | 3.392 | 15 |
| 6 0 1 | 33.48 | 2.676 | 14 |

Crystal structure
```
data_Cs5Ga2Te5
_space_group_name_H-M_alt 'C 1 2/m 1'
_space_group_IT_number 12
_space_group_name_Hall '-C 2y'
_cell_length_a 17.127
_cell_length_b 5.043
_cell_length_c 12.935
_cell_angle_alpha 90.00
_cell_angle_beta 98.53
_cell_angle_gamma 90.00
loop_
_atom_site_label
_atom_site_fract_x
_atom_site_fract_y
_atom_site_fract_z
Cs1 0.000 0.000 0.000
Cs2 0.147 0.000 0.597
Cs3 0.214 0.500 0.128
Ga1 0.026 0.500 0.295
Te1 0.000 0.500 0.500
Te2 0.106 0.000 0.286
Te3 0.111 0.500 0.837
```

# 7
Calculated powder XRD pattern
Compound: Cs2GaTe
Radiation: Cu Kα
Structure: DFT lattice parameters and positions (GGA-PBE)
Peak positions follow from Bragg's law for the DFT cell and can differ from measured ones.

Main lines, in order of falling intensity (15 to 90 degrees two-theta):
| index | Position (°2θ) | d_spacing | intensity |
| --- | --- | --- | --- |
| 2 2 2 | 27.57 | 3.235 | 100 |
| 1 1 3 | 27.82 | 3.207 | 36 |
| 3 3 1 | 33.72 | 2.658 | 30 |
| 0 4 0 | 31.07 | 2.879 | 21 |
| 3 1 1 | 25.39 | 3.508 | 21 |
| 4 0 0 | 30.27 | 2.952 | 16 |
| 4 4 2 | 47.42 | 1.917 | 15 |
| 2 2 0 | 21.56 | 4.122 | 15 |
| 0 0 4 | 34.35 | 2.610 | 12 |
| 5 1 3 | 47.17 | 1.927 | 12 |

Crystal structure
```
data_Cs2GaTe
_space_group_name_H-M_alt 'C m c e'
_space_group_IT_number 64
_space_group_name_Hall '-C 2ac 2'
_cell_length_a 11.810
_cell_length_b 11.515
_cell_length_c 10.442
_cell_angle_alpha 90.00
_cell_angle_beta 90.00
_cell_angle_gamma 90.00
loop_
_atom_site_label
_atom_site_fract_x
_atom_site_fract_y
_atom_site_fract_z
Cs1 0.000 0.000 0.185
Cs2 0.250 0.250 0.250
Ga1 0.000 0.179 0.499
Te1 0.178 0.000 0.500
```

# 8
Calculated powder XRD pattern
Compound: CsGa4Te7
Radiation: Cu Kα
Structure: DFT lattice parameters and positions (GGA-PBE)
Peak positions follow from Bragg's law for the DFT cell and can differ from measured ones.

Main lines, in order of falling intensity (15 to 90 degrees two-theta):
| index | Position (°2θ) | d_spacing | intensity |
| --- | --- | --- | --- |
| 4 1 1 | 27.66 | 3.225 | 100 |
| 0 0 2 | 25.47 | 3.498 | 68 |
| 4 1 3 | 46.26 | 1.962 | 52 |
| 4 1 0 | 24.50 | 3.634 | 49 |
| 4 3 0 | 43.55 | 2.078 | 45 |
| 0 2 1 | 27.98 | 3.189 | 44 |
| 4 3 2 | 51.12 | 1.787 | 36 |
| 0 2 0 | 24.85 | 3.583 | 33 |
| 0 2 3 | 46.47 | 1.954 | 24 |
| 4 1 2 | 35.63 | 2.520 | 23 |

Crystal structure
```
data_CsGa4Te7
_space_group_name_H-M_alt 'P m n 21'
_space_group_IT_number 31
_space_group_name_Hall 'P 2ac -2'
_cell_length_a 16.865
_cell_length_b 7.166
_cell_length_c 6.995
_cell_angle_alpha 90.00
_cell_angle_beta 90.00
_cell_angle_gamma 90.00
loop_
_atom_site_label
_atom_site_fract_x
_atom_site_fract_y
_atom_site_fract_z
Cs1 0.000 0.164 0.000
Ga1 0.121 0.667 0.642
Ga2 0.249 0.179 0.622
Te1 0.000 0.853 0.493
Te2 0.113 0.320 0.507
Te3 0.116 0.669 0.019
Te4 0.242 0.182 0.012
```

# 9
Calculated powder XRD pattern
Compound: Cs2Tl5Ga
Radiation: Cu Kα
Structure: DFT lattice parameters and positions (GGA-PBE)
Peak positions follow from Bragg's law for the DFT cell and can differ from measured ones.

Main lines, in order of falling intensity (15 to 90 degrees two-theta):
| index | Position (°2θ) | d_spacing | intensity |
| --- | --- | --- | --- |
| 2 2 2 | 28.79 | 3.101 | 100 |
| 4 0 0 | 36.94 | 2.433 | 36 |
| 2 2 4 | 36.24 | 2.479 | 26 |
| 6 2 2 | 61.65 | 1.505 | 24 |
| 0 0 4 | 24.91 | 3.574 | 19 |
| 0 2 4 | 31.05 | 2.881 | 17 |
| 2 2 6 | 46.35 | 1.959 | 17 |
| 4 0 4 | 45.07 | 2.011 | 16 |
| 4 4 0 | 53.24 | 1.721 | 13 |
| 4 0 8 | 64.71 | 1.440 | 13 |

Crystal structure
```
data_Cs2Tl5Ga
_space_group_name_H-M_alt 'F m m 2'
_space_group_IT_number 42
_space_group_name_Hall 'F 2 -2'
_cell_length_a 9.728
_cell_length_b 9.739
_cell_length_c 14.296
_cell_angle_alpha 90.00
_cell_angle_beta 90.00
_cell_angle_gamma 90.00
loop_
_atom_site_label
_atom_site_fract_x
_atom_site_fract_y
_atom_site_fract_z
Cs1 0.250 0.250 0.000
Tl1 0.000 0.000 0.393
Tl2 0.000 0.249 0.742
Tl3 0.249 0.000 0.742
Ga1 0.000 0.000 0.615
```

# 10
Calculated powder XRD pattern
Compound: Cs2Tl7Ga
Radiation: Cu Kα
Structure: DFT lattice parameters and positions (GGA-PBE)
Peak positions follow from Bragg's law for the DFT cell and can differ from measured ones.

Main lines, in order of falling intensity (15 to 90 degrees two-theta):
| index | Position (°2θ) | d_spacing | intensity |
| --- | --- | --- | --- |
| 1 1 2 | 27.32 | 3.265 | 100 |
| 2 0 0 | 33.51 | 2.674 | 94 |
| 1 1 4 | 36.57 | 2.457 | 71 |
| 1 0 3 | 26.56 | 3.356 | 70 |
| 2 1 3 | 43.26 | 2.092 | 38 |
| 2 2 0 | 48.12 | 1.891 | 34 |
| 1 0 1 | 17.95 | 4.943 | 32 |
| 1 0 5 | 38.67 | 2.328 | 32 |
| 3 1 4 | 61.91 | 1.499 | 31 |
| 2 1 5 | 52.08 | 1.756 | 27 |

Crystal structure
```
data_Cs2Tl7Ga
_space_group_name_H-M_alt 'P -4 m 2'
_space_group_IT_number 115
_space_group_name_Hall 'P -4 -2'
_cell_length_a 5.349
_cell_length_b 5.349
_cell_length_c 12.931
_cell_angle_alpha 90.00
_cell_angle_beta 90.00
_cell_angle_gamma 90.00
loop_
_atom_site_label
_atom_site_fract_x
_atom_site_fract_y
_atom_site_fract_z
Cs1 0.000 0.500 0.244
Tl1 0.000 0.000 0.000
Tl2 0.000 0.000 0.500
Tl3 0.000 0.500 0.638
Tl4 0.000 0.500 0.880
Tl5 0.500 0.500 0.500
Ga1 0.500 0.500 0.000
```

# 11
Calculated powder XRD pattern
Compound: CsTl6Ga
Radiation: Cu Kα
Structure: DFT lattice parameters and positions (GGA-PBE)
Peak positions follow from Bragg's law for the DFT cell and can differ from measured ones.

Main lines, in order of falling intensity (15 to 90 degrees two-theta):
| index | Position (°2θ) | d_spacing | intensity |
| --- | --- | --- | --- |
| 1 1 3 | 36.46 | 2.465 | 100 |
| 2 0 0 | 33.80 | 2.652 | 93 |
| 1 1 1 | 25.43 | 3.503 | 89 |
| 3 1 3 | 62.21 | 1.492 | 43 |
| 2 2 0 | 48.56 | 1.875 | 34 |
| 1 0 2 | 24.72 | 3.601 | 28 |
| 1 1 2 | 29.99 | 2.979 | 26 |
| 2 0 6 | 67.27 | 1.392 | 25 |
| 1 0 3 | 32.16 | 2.784 | 22 |
| 3 1 1 | 55.60 | 1.653 | 21 |

Crystal structure
```
data_CsTl6Ga
_space_group_name_H-M_alt 'P 4/m m m'
_space_group_IT_number 123
_space_group_name_Hall '-P 4 2'
_cell_length_a 5.303
_cell_length_b 5.303
_cell_length_c 9.810
_cell_angle_alpha 90.00
_cell_angle_beta 90.00
_cell_angle_gamma 90.00
loop_
_atom_site_label
_atom_site_fract_x
_atom_site_fract_y
_atom_site_fract_z
Cs1 0.000 0.000 0.000
Tl1 0.000 0.500 0.333
Tl2 0.500 0.500 0.157
Ga1 0.000 0.000 0.500
```

# 12
Calculated powder XRD pattern
Compound: CsTl2Ga
Radiation: Cu Kα
Structure: DFT lattice parameters and positions (GGA-PBE)
Peak positions follow from Bragg's law for the DFT cell and can differ from measured ones.

Main lines, in order of falling intensity (15 to 90 degrees two-theta):
| index | Position (°2θ) | d_spacing | intensity |
| --- | --- | --- | --- |
| 0 1 5 | 28.73 | 3.107 | 100 |
| 1 0 4 | 26.27 | 3.392 | 89 |
| 1 1 0 | 37.27 | 2.413 | 78 |
| 0 1 8 | 37.72 | 2.385 | 32 |
| 1 0 1 | 21.61 | 4.113 | 30 |
| 1 1 9 | 51.87 | 1.763 | 30 |
| 2 0 5 | 47.73 | 1.906 | 25 |
| 1 2 5 | 62.07 | 1.495 | 23 |
| 0 2 4 | 46.17 | 1.966 | 20 |
| 2 1 4 | 60.77 | 1.524 | 18 |

Crystal structure
```
data_CsTl2Ga
_space_group_name_H-M_alt 'R 3 m'
_space_group_IT_number 160
_space_group_name_Hall 'R 3 -2"'
_cell_length_a 4.8251
_cell_length_b 4.8251
_cell_length_c 23.2344
_cell_angle_alpha 90.00
_cell_angle_beta 90.00
_cell_angle_gamma 120.00
loop_
_atom_site_label
_atom_site_fract_x
_atom_site_fract_y
_atom_site_fract_z
Cs1 0.0000 0.0000 0.0000
Tl1 0.0000 0.0000 0.2128
Tl2 0.0000 0.0000 0.4521
Ga1 0.0000 0.0000 0.8238
```